1.
Diffraction record for La4SiBiBr2. The powder diffraction line list is theoretical, not measured: it uses a crystal structure in Alexandria, relaxed with GGA-PBE and Cu Ka.
Neutral-atom scattering factors, no anomalous dispersion.

Crystal structure
```
data_La4SiBiBr2
_cell_length_a 7.571
_cell_length_b 4.478
_cell_length_c 8.025
_cell_angle_alpha 90.00
_cell_angle_beta 109.68
_cell_angle_gamma 90.00
_space_group_name_H-M_alt 'P 1 2/m 1'
_space_group_IT_number 10
loop_
_space_group_symop_operation_xyz
'x,y,z'
'-x,-y,-z'
'-x,y,-z'
'x,-y,z'
loop_
_atom_site_label
_atom_site_type_symbol
_atom_site_fract_x
_atom_site_fract_y
_atom_site_fract_z
_atom_site_occupancy
La1 La 0.226 0.000 0.219 1
La2 La 0.240 0.500 0.775 1
Si1 Si 0.000 0.500 0.000 1
Bi1 Bi 0.000 0.000 0.500 1
Br1 Br 0.500 0.000 0.000 1
Br2 Br 0.500 0.500 0.500 1
```

Main lines, in order of rising 2θ (5° ≤ 2θ ≤ 70°):
(hkl)	2θ/deg	I (rel.)
2 0 -2	28.04	49
1 1 1	28.16	100
1 1 -2	30.25	11
1 1 -3	39.23	37
0 2 0	40.24	37
3 1 -1	41.06	36
2 2 -2	49.79	20
2 2 2	58.22	12
1 3 1	65.95	9
4 2 0	67.12	9


2.
Diffraction record for CeMgBi2O. The powder diffraction line list is theoretical, not measured: it uses a crystal structure in Alexandria, relaxed with GGA-PBE and Cu Ka.
Neutral-atom scattering factors, no anomalous dispersion.

Crystal structure
```
data_CeMgBi2O
_cell_length_a 3.925
_cell_length_b 3.925
_cell_length_c 17.685
_cell_angle_alpha 90.00
_cell_angle_beta 90.00
_cell_angle_gamma 90.00
_space_group_name_H-M_alt 'P 4/n m m'
_space_group_IT_number 129
loop_
_space_group_symop_operation_xyz
'x,y,z'
'-x,-y,-z'
'-y+1/2,x,z'
'y+1/2,-x,-z'
'-x+1/2,-y+1/2,z'
'x+1/2,y+1/2,-z'
'y,-x+1/2,z'
'-y,x+1/2,-z'
'x+1/2,-y,-z'
'-x+1/2,y,z'
'-y,-x,-z'
'y,x,z'
'-x,y+1/2,-z'
'x,-y+1/2,z'
'y+1/2,x+1/2,-z'
'-y+1/2,-x+1/2,z'
loop_
_atom_site_label
_atom_site_type_symbol
_atom_site_fract_x
_atom_site_fract_y
_atom_site_fract_z
_atom_site_occupancy
Ce1 Ce 0.250 0.250 0.070 1
Mg1 Mg 0.250 0.250 0.646 1
Bi1 Bi 0.250 0.250 0.437 1
Bi2 Bi 0.250 0.250 0.809 1
O1 O 0.250 0.750 0.000 1
```

Main lines, in order of rising 2θ (5° ≤ 2θ ≤ 70°):
(hkl)	2θ/deg	I (rel.)
0 0 3	15.03	20
1 0 2	24.82	18
1 0 3	27.30	100
1 1 0	32.25	62
1 0 5	34.12	51
1 0 6	38.18	17
2 0 0	46.26	26
1 1 8	52.95	29
2 1 3	54.54	30
2 1 5	58.72	22


3.
Diffraction record for CeSm8Dy6. The powder diffraction line list is theoretical, not measured: it uses a crystal structure in Alexandria, relaxed with GGA-PBE and Cu Ka.
Neutral-atom scattering factors, no anomalous dispersion.

Crystal structure
```
data_CeSm8Dy6
_cell_length_a 9.0819
_cell_length_b 9.0819
_cell_length_c 20.7707
_cell_angle_alpha 90.00
_cell_angle_beta 90.00
_cell_angle_gamma 120.00
_space_group_name_H-M_alt 'R -3'
_space_group_IT_number 148
_space_group_name_Hall '-R 3'
loop_
_atom_site_label
_atom_site_type_symbol
_atom_site_fract_x
_atom_site_fract_y
_atom_site_fract_z
_atom_site_occupancy
Ce1 Ce 0.0000 0.0000 0.0000 1
Sm1 Sm 0.0000 0.0000 0.4224 1
Sm2 Sm 0.0811 0.5596 0.8051 1
Dy1 Dy 0.0520 0.2455 0.7069 1
```

Main lines, in order of rising 2θ (5° ≤ 2θ ≤ 70°):
(hkl)	2θ/deg	I (rel.)
3 -1 1	30.37	28
3 -2 2	31.31	100
1 0 7	32.24	31
1 1 6	32.52	13
2 1 4	34.77	11
0 3 3	36.65	14
0 3 9	52.86	12
3 2 4	53.81	11
5 -1 3	55.13	11
5 -2 7	60.01	8


4.
Diffraction record for Co3SiH. The powder diffraction line list is theoretical, not measured: it uses a crystal structure in Alexandria, relaxed with GGA-PBE and Cu Ka.
Neutral-atom scattering factors, no anomalous dispersion.

Crystal structure
```
data_Co3SiH
_cell_length_a 4.910
_cell_length_b 4.910
_cell_length_c 7.408
_cell_angle_alpha 90.00
_cell_angle_beta 90.00
_cell_angle_gamma 90.00
_space_group_name_H-M_alt 'I 4/m c m'
_space_group_IT_number 140
_space_group_name_Hall '-I 4 2c'
loop_
_atom_site_label
_atom_site_type_symbol
_atom_site_fract_x
_atom_site_fract_y
_atom_site_fract_z
_atom_site_occupancy
Co1 Co 0.000 0.000 0.250 1
Co2 Co 0.196 0.304 0.000 1
Si1 Si 0.000 0.500 0.250 1
H1 H 0.000 0.000 0.000 1
```

Main lines, in order of rising 2θ (5° ≤ 2θ ≤ 70°):
(hkl)	2θ/deg	I (rel.)
0 0 2	24.02	5
1 1 0	25.66	3
1 1 2	35.44	12
2 1 1	42.96	34
2 0 2	44.26	100
0 0 4	49.20	24
2 2 0	52.73	23
2 1 3	56.04	14
1 1 4	56.30	1
3 1 0	59.53	5


5.
Diffraction record for Zr2MnTl2Se6. The powder diffraction line list is theoretical, not measured: it uses a crystal structure in Alexandria, relaxed with GGA-PBE and Cu Ka.
Neutral-atom scattering factors, no anomalous dispersion.

Crystal structure
```
data_Zr2MnTl2Se6
_cell_length_a 6.711
_cell_length_b 11.657
_cell_length_c 8.196
_cell_angle_alpha 90.00
_cell_angle_beta 106.03
_cell_angle_gamma 90.00
_space_group_name_H-M_alt 'C 1 2/m 1'
_space_group_IT_number 12
loop_
_space_group_symop_operation_xyz
'x,y,z'
'-x,-y,-z'
'-x,y,-z'
'x,-y,z'
'x+1/2,y+1/2,z'
'-x+1/2,-y+1/2,-z'
'-x+1/2,y+1/2,-z'
'x+1/2,-y+1/2,z'
loop_
_atom_site_label
_atom_site_type_symbol
_atom_site_fract_x
_atom_site_fract_y
_atom_site_fract_z
_atom_site_occupancy
Zr1 Zr 0.000 0.168 0.000 1
Mn1 Mn 0.000 0.500 0.000 1
Tl1 Tl 0.000 0.333 0.500 1
Se1 Se 0.233 0.000 0.194 1
Se2 Se 0.234 0.334 0.196 1
```

Main lines, in order of rising 2θ (5° ≤ 2θ ≤ 70°):
(hkl)	2θ/deg	I (rel.)
0 2 0	15.20	9
1 1 -1	16.97	12
1 3 1	30.61	100
1 3 -2	32.66	8
1 3 -3	40.62	22
2 0 2	40.76	11
0 6 0	46.76	11
3 3 -1	46.87	23
2 6 -2	56.91	11
2 6 2	63.72	9


6.
Diffraction record for Ti2Be3Cr. The powder diffraction line list is theoretical, not measured: it uses a crystal structure in Alexandria, relaxed with GGA-PBE and Cu Ka.
Neutral-atom scattering factors, no anomalous dispersion.

Crystal structure
```
data_Ti2Be3Cr
_cell_length_a 4.5354
_cell_length_b 4.5354
_cell_length_c 11.7729
_cell_angle_alpha 90.00
_cell_angle_beta 90.00
_cell_angle_gamma 120.00
_space_group_name_H-M_alt 'R -3 m'
_space_group_IT_number 166
_space_group_name_Hall '-R 3 2"'
loop_
_atom_site_label
_atom_site_type_symbol
_atom_site_fract_x
_atom_site_fract_y
_atom_site_fract_z
_atom_site_occupancy
Ti1 Ti 0.0000 0.0000 0.1251 1
Be1 Be 0.0000 0.5000 0.0000 1
Cr1 Cr 0.0000 0.0000 0.5000 1
```

Main lines, in order of rising 2θ (5° ≤ 2θ ≤ 70°):
(hkl)	2θ/deg	I (rel.)
0 0 3	22.66	75
0 1 2	27.30	31
1 0 4	38.21	12
1 1 0	39.75	96
0 1 5	44.88	52
1 1 3	46.24	100
2 0 2	48.89	13
2 0 5	61.48	12
1 1 6	62.60	5
0 1 8	68.03	17


7.
Diffraction record for Ho2Er2Si3. The powder diffraction line list is theoretical, not measured: it uses a crystal structure in Alexandria, relaxed with GGA-PBE and Cu Ka.
Neutral-atom scattering factors, no anomalous dispersion.

Crystal structure
```
data_Ho2Er2Si3
_cell_length_a 10.200
_cell_length_b 4.580
_cell_length_c 7.930
_cell_angle_alpha 90.00
_cell_angle_beta 102.78
_cell_angle_gamma 90.00
_space_group_name_H-M_alt 'C 1 2/m 1'
_space_group_IT_number 12
loop_
_space_group_symop_operation_xyz
'x,y,z'
'-x,-y,-z'
'-x,y,-z'
'x,-y,z'
'x+1/2,y+1/2,z'
'-x+1/2,-y+1/2,-z'
'-x+1/2,y+1/2,-z'
'x+1/2,-y+1/2,z'
loop_
_atom_site_label
_atom_site_type_symbol
_atom_site_fract_x
_atom_site_fract_y
_atom_site_fract_z
_atom_site_occupancy
Ho1 Ho 0.138 0.000 0.411 1
Er1 Er 0.129 0.500 0.853 1
Si1 Si 0.000 0.500 0.500 1
Si2 Si 0.207 0.500 0.221 1
```

Main lines, in order of rising 2θ (5° ≤ 2θ ≤ 70°):
(hkl)	2θ/deg	I (rel.)
1 1 1	25.23	100
2 0 -2	25.87	44
2 0 2	32.31	37
3 1 -1	33.29	84
4 0 0	36.12	22
0 2 0	39.36	71
2 2 -2	47.69	18
2 2 2	51.79	19
5 1 1	53.91	16
3 3 -1	67.50	19


8.
Diffraction record for Er3Ge3Rh2. The powder diffraction line list is theoretical, not measured: it uses a crystal structure in Alexandria, relaxed with GGA-PBE and Cu Ka.
Neutral-atom scattering factors, no anomalous dispersion.

Crystal structure
```
data_Er3Ge3Rh2
_cell_length_a 8.096
_cell_length_b 14.129
_cell_length_c 5.610
_cell_angle_alpha 90.00
_cell_angle_beta 90.00
_cell_angle_gamma 90.00
_space_group_name_H-M_alt 'P n m a'
_space_group_IT_number 62
loop_
_space_group_symop_operation_xyz
'x,y,z'
'-x,-y,-z'
'-x+1/2,-y,z+1/2'
'x+1/2,y,-z+1/2'
'x+1/2,-y+1/2,-z+1/2'
'-x+1/2,y+1/2,z+1/2'
'-x,y+1/2,-z'
'x,-y+1/2,z'
loop_
_atom_site_label
_atom_site_type_symbol
_atom_site_fract_x
_atom_site_fract_y
_atom_site_fract_z
_atom_site_occupancy
Er1 Er 0.041 0.113 0.121 1
Er2 Er 0.189 0.250 0.634 1
Ge1 Ge 0.169 0.750 0.615 1
Ge2 Ge 0.203 0.037 0.623 1
Rh1 Rh 0.076 0.599 0.382 1
```

Main lines, in order of rising 2θ (5° ≤ 2θ ≤ 70°):
(hkl)	2θ/deg	I (rel.)
2 4 0	33.67	100
1 0 2	33.82	33
1 1 2	34.43	64
3 0 1	36.96	33
2 4 1	37.38	66
3 1 1	37.52	27
0 6 0	38.22	28
1 3 2	38.99	75
4 0 1	47.77	36
1 7 2	57.38	26


9.
Diffraction record for PmPrHo6. The powder diffraction line list is theoretical, not measured: it uses a crystal structure in Alexandria, relaxed with GGA-PBE and Cu Ka.
Neutral-atom scattering factors, no anomalous dispersion.

Crystal structure
```
data_PmPrHo6
_cell_length_a 6.458
_cell_length_b 6.461
_cell_length_c 6.463
_cell_angle_alpha 96.60
_cell_angle_beta 96.68
_cell_angle_gamma 96.55
_space_group_name_H-M_alt 'P -1'
_space_group_IT_number 2
loop_
_space_group_symop_operation_xyz
'x,y,z'
'-x,-y,-z'
loop_
_atom_site_label
_atom_site_type_symbol
_atom_site_fract_x
_atom_site_fract_y
_atom_site_fract_z
_atom_site_occupancy
Pm1 Pm 0.000 0.000 0.000 1
Pr1 Pr 0.500 0.500 0.500 1
Ho1 Ho 0.045 0.751 0.455 1
Ho2 Ho 0.249 0.545 0.954 1
Ho3 Ho 0.454 0.046 0.751 1
```

Main lines, in order of rising 2θ (5° ≤ 2θ ≤ 70°):
(hkl)	2θ/deg	I (rel.)
2 0 0	28.05	30
2 -1 0	29.72	24
1 -2 1	32.14	100
1 0 2	33.08	97
2 1 -1	33.75	24
1 3 -1	46.79	25
-2 3 1	51.16	18
-1 2 3	54.45	12
1 -4 0	57.89	19
1 2 3	59.67	16


10.
Diffraction record for Sm3Zn2Cu7. The powder diffraction line list is theoretical, not measured: it uses a crystal structure in Alexandria, relaxed with GGA-PBE and Cu Ka.
Neutral-atom scattering factors, no anomalous dispersion.

Crystal structure
```
data_Sm3Zn2Cu7
_cell_length_a 5.2920
_cell_length_b 5.2920
_cell_length_c 25.1217
_cell_angle_alpha 90.00
_cell_angle_beta 90.00
_cell_angle_gamma 120.00
_space_group_name_H-M_alt 'R -3 m'
_space_group_IT_number 166
_space_group_name_Hall '-R 3 2"'
loop_
_atom_site_label
_atom_site_type_symbol
_atom_site_fract_x
_atom_site_fract_y
_atom_site_fract_z
_atom_site_occupancy
Sm1 Sm 0.0000 0.0000 0.0000 1
Sm2 Sm 0.0000 0.0000 0.1412 1
Zn1 Zn 0.0000 0.0000 0.3321 1
Cu1 Cu 0.0000 0.0000 0.5000 1
Cu2 Cu 0.0022 0.5011 0.0821 1
```

Main lines, in order of rising 2θ (5° ≤ 2θ ≤ 70°):
(hkl)	2θ/deg	I (rel.)
1 0 7	31.67	41
1 1 0	33.88	49
0 1 8	34.63	30
0 2 1	39.49	37
1 1 6	40.32	100
0 0 12	43.22	14
2 0 5	43.40	16
0 1 11	44.31	13
2 1 7	59.23	14
0 3 6	64.98	23


11.
Diffraction record for La3PmInCo. The powder diffraction line list is theoretical, not measured: it uses a crystal structure in Alexandria, relaxed with GGA-PBE and Cu Ka.
Neutral-atom scattering factors, no anomalous dispersion.

Crystal structure
```
data_La3PmInCo
_cell_length_a 17.307
_cell_length_b 7.195
_cell_length_c 6.115
_cell_angle_alpha 90.00
_cell_angle_beta 110.34
_cell_angle_gamma 90.00
_space_group_name_H-M_alt 'C 1 2/m 1'
_space_group_IT_number 12
loop_
_space_group_symop_operation_xyz
'x,y,z'
'-x,-y,-z'
'-x,y,-z'
'x,-y,z'
'x+1/2,y+1/2,z'
'-x+1/2,-y+1/2,-z'
'-x+1/2,y+1/2,-z'
'x+1/2,-y+1/2,z'
loop_
_atom_site_label
_atom_site_type_symbol
_atom_site_fract_x
_atom_site_fract_y
_atom_site_fract_z
_atom_site_occupancy
La1 La 0.119 0.244 0.116 1
La2 La 0.194 0.500 0.704 1
Pm1 Pm 0.000 0.241 0.500 1
In1 In 0.190 0.000 0.692 1
Co1 Co 0.032 0.500 0.847 1
```

Main lines, in order of rising 2θ (5° ≤ 2θ ≤ 70°):
(hkl)	2θ/deg	I (rel.)
2 2 0	27.11	23
2 0 -2	29.21	43
4 0 1	31.12	28
6 0 -1	31.28	38
2 2 1	33.30	100
0 2 2	40.21	17
4 2 -2	40.33	14
0 4 0	50.75	12
8 2 0	51.73	19
10 2 -2	60.70	21


12.
Diffraction record for Co4Ni9Pd11. The powder diffraction line list is theoretical, not measured: it uses a crystal structure in Alexandria, relaxed with GGA-PBE and Cu Ka.
Neutral-atom scattering factors, no anomalous dispersion.

Crystal structure
```
data_Co4Ni9Pd11
_cell_length_a 12.362
_cell_length_b 19.193
_cell_length_c 2.706
_cell_angle_alpha 90.00
_cell_angle_beta 90.00
_cell_angle_gamma 90.00
_space_group_name_H-M_alt 'C m m m'
_space_group_IT_number 65
_space_group_name_Hall '-C 2 2'
loop_
_atom_site_label
_atom_site_type_symbol
_atom_site_fract_x
_atom_site_fract_y
_atom_site_fract_z
_atom_site_occupancy
Co1 Co 0.171 0.090 0.000 1
Ni1 Ni 0.000 0.000 0.000 1
Ni2 Ni 0.105 0.217 0.000 1
Ni3 Ni 0.110 0.408 0.000 1
Pd1 Pd 0.000 0.119 0.500 1
Pd2 Pd 0.000 0.313 0.500 1
Pd3 Pd 0.000 0.500 0.500 1
Pd4 Pd 0.221 0.318 0.500 1
Pd5 Pd 0.225 0.500 0.500 1
```

Main lines, in order of rising 2θ (5° ≤ 2θ ≤ 70°):
(hkl)	2θ/deg	I (rel.)
4 0 0	28.89	20
4 6 0	40.59	70
1 5 1	41.48	85
5 5 0	43.54	95
0 6 1	43.83	74
4 0 1	44.51	100
0 10 0	47.37	31
5 1 1	50.21	26
4 10 1	67.02	23
0 0 2	69.48	22